# MnCr8Cu3S16
Calculated powder diffraction line list, λ = 1.5418 Å (Cu Kα). Input: DFT lattice parameters and positions (PBE).

Crystal structure
```
data_MnCr8Cu3S16
_chemical_formula_sum 'Mn1 Cr8 Cu3 S16'
_symmetry_space_group_name_H-M 'P -4 m 2'
_symmetry_Int_Tables_number 115
_cell_length_a 7.008
_cell_length_b 7.008
_cell_length_c 9.911
_cell_angle_alpha 90.00
_cell_angle_beta 90.00
_cell_angle_gamma 90.00
loop_
_symmetry_equiv_pos_as_xyz
'x,y,z'
'y,-x,-z'
'-x,-y,z'
'-y,x,-z'
'-x,y,z'
'-y,-x,-z'
'x,-y,z'
'y,x,-z'
loop_
_atom_site_label
_atom_site_fract_x
_atom_site_fract_y
_atom_site_fract_z
Mn1 0.000 0.000 0.000
Cr1 0.000 0.250 0.379
Cr2 0.256 0.500 0.125
Cu1 0.000 0.500 0.750
Cu2 0.500 0.500 0.500
S1 0.000 0.234 0.617
S2 0.000 0.269 0.135
S3 0.234 0.500 0.367
S4 0.266 0.500 0.883
```

Top 8 peaks for 2θ = 15–90°, low angle first:
2θ/deg, Rel. int.
25.42, 37
29.90, 100
36.25, 45
44.80, 14
47.68, 46
52.21, 87
73.38, 16
76.96, 12